Entry 1:
This entry pairs a crystal structure of Na2Al2B2O7 with its theoretical powder diffractogram. Radiation: a wavelength of 1.5418 Å. Structure: a cell relaxed with GGA-PBE.
Kinematic intensities with the Lorentz-polarization factor, no thermal factor.

Cell and atoms:
a b c (Å): 4.8704 15.5899 4.8753
angles (deg): 90.00 119.89 90.00
Space group P2_1/m (No. 11)
Inequivalent atoms, fractional coordinates:
Na 0.0000 0.0000 0.0000 [2 per cell]
Na 0.0057 0.2500 0.9947 [2 per cell]
Al 0.3418 0.6389 0.6706 [4 per cell]
B 0.3313 0.1048 0.6664 [4 per cell]
O 0.0375 0.1102 0.6455 [4 per cell]
O 0.3533 0.1003 0.3947 [4 per cell]
O 0.3684 0.7500 0.6828 [2 per cell]
O 0.3966 0.6029 0.0395 [4 per cell]

Top 10 peaks for 10° ≤ 2θ ≤ 80°, by intensity:
2θ (°), I_rel, (hkl)
31.2, 100, 1 4 -1
22.8, 45, 0 4 0
21.8, 37, 1 1 -1
36.9, 35, 2 0 -1
40.9, 20, 2 3 -1
37.3, 18, 1 1 1
46.6, 18, 0 8 0
66.4, 15, 0 0 3
43.2, 13, 2 1 0
60.9, 10, 1 8 -2

Entry 2:
This entry pairs a crystal structure of LuMn2Ge2 with its theoretical powder diffractogram. Radiation: a wavelength of 1.5418 Å. Structure: a cell relaxed with GGA-PBE.
Kinematic intensities with the Lorentz-polarization factor, no thermal factor.

Cell and atoms:
a b c (Å): 3.8966 3.8966 10.7985
angles (deg): 90.00 90.00 90.00
Space group I4/mmm (No. 139)
Inequivalent atoms, fractional coordinates:
Lu 0.0000 0.0000 0.0000 [2 per cell]
Mn 0.0000 0.5000 0.2500 [4 per cell]
Ge 0.0000 0.0000 0.3829 [4 per cell]

Top 10 peaks for 10° ≤ 2θ ≤ 80°, by intensity:
2θ (°), I_rel, (hkl)
36.6, 100, 1 1 2
33.9, 94, 1 0 3
46.6, 53, 2 0 0
48.2, 47, 1 0 5
58.9, 39, 2 1 3
32.5, 34, 1 1 0
69.3, 31, 2 1 5
79.8, 20, 3 1 2
68.1, 16, 2 2 0
61.5, 14, 1 1 6